[1]
This entry pairs a crystal structure of Sr2Ru3O10 with its computed powder diffraction line list. Radiation: CuKα. Structure: a crystal structure in the Materials Project, relaxed with PBE.

Cell and atoms:
```
data_Sr2Ru3O10
_chemical_formula_sum 'Sr4 Ru6 O20'
_cell_length_a 11.4059
_cell_length_b 5.5936
_cell_length_c 6.6617
_cell_angle_alpha 90.00
_cell_angle_beta 102.66
_cell_angle_gamma 90.00
_space_group_name_H-M_alt 'C 1 2/m 1'
_space_group_IT_number 12
loop_
_space_group_symop_operation_xyz
'x,y,z'
'-x,-y,-z'
'-x,y,-z'
'x,-y,z'
'x+1/2,y+1/2,z'
'-x+1/2,-y+1/2,-z'
'-x+1/2,y+1/2,-z'
'x+1/2,-y+1/2,z'
loop_
_atom_site_label
_atom_site_type_symbol
_atom_site_fract_x
_atom_site_fract_y
_atom_site_fract_z
Sr1 Sr 0.1776 0.0000 0.1632
Ru1 Ru 0.0000 0.2720 0.5000
Ru2 Ru 0.0000 0.5000 0.0000
O1 O 0.9997 0.2551 0.2044
O2 O 0.1106 0.0000 0.5311
O3 O 0.1346 0.5000 0.5538
O4 O 0.1698 0.5000 0.0602
```

Main lines, sorted by position (2θ from 5° to 70°):
- 2θ = 15.93°, intensity 100
- 2θ = 23.21°, intensity 44
- 2θ = 23.50°, intensity 40
- 2θ = 28.61°, intensity 79
- 2θ = 28.88°, intensity 47
- 2θ = 34.36°, intensity 41
- 2θ = 34.92°, intensity 52
- 2θ = 35.94°, intensity 32
- 2θ = 37.26°, intensity 36
- 2θ = 50.39°, intensity 31

[2]
This entry pairs a crystal structure of Rb3NdN6 with its computed powder diffraction line list. Radiation: CuKα. Structure: a crystal structure in the Materials Project, relaxed with PBE.

Cell and atoms:
```
data_Rb3NdN6
_chemical_formula_sum 'Rb18 Nd6 N36'
_cell_length_a 11.8543
_cell_length_b 11.8543
_cell_length_c 14.1539
_cell_angle_alpha 90.00
_cell_angle_beta 90.00
_cell_angle_gamma 120.00
_space_group_name_H-M_alt 'R 3 2'
_space_group_IT_number 155
_space_group_name_Hall 'R 3 2"'
loop_
_atom_site_label
_atom_site_type_symbol
_atom_site_fract_x
_atom_site_fract_y
_atom_site_fract_z
Rb1 Rb 0.0000 0.3435 0.0000
Rb2 Rb 0.0000 0.6648 0.5000
Nd1 Nd 0.0000 0.0000 0.2462
N1 N 0.0240 0.8463 0.6593
N2 N 0.0250 0.1827 0.1590
```

Main lines, sorted by position (2θ from 5° to 70°):
- 2θ = 15.21°, intensity 77
- 2θ = 21.38°, intensity 24
- 2θ = 24.11°, intensity 71
- 2θ = 26.04°, intensity 100
- 2θ = 35.78°, intensity 52
- 2θ = 41.19°, intensity 29
- 2θ = 44.78°, intensity 27
- 2θ = 45.94°, intensity 26
- 2θ = 49.38°, intensity 23
- 2θ = 56.66°, intensity 22

[3]
This entry pairs a crystal structure of Ho2S3 with its computed powder diffraction line list. Radiation: CuKα. Structure: a crystal structure in the Materials Project, relaxed with PBE.

Cell and atoms:
```
data_Ho2S3
_chemical_formula_sum 'Ho32 S48'
_cell_length_a 8.2867
_cell_length_b 8.2867
_cell_length_c 24.7803
_cell_angle_alpha 90.00
_cell_angle_beta 90.00
_cell_angle_gamma 90.00
_space_group_name_H-M_alt 'I -4 2 d'
_space_group_IT_number 122
_space_group_name_Hall 'I -4 2bw'
loop_
_atom_site_label
_atom_site_type_symbol
_atom_site_fract_x
_atom_site_fract_y
_atom_site_fract_z
Ho1 Ho 0.0000 0.0000 0.1657
Ho2 Ho 0.1186 0.7500 0.6250
Ho3 Ho 0.1384 0.7405 0.9611
S1 S 0.0664 0.6799 0.1843
S2 S 0.0704 0.6837 0.8558
S3 S 0.0790 0.6739 0.5173
```

Main lines, sorted by position (2θ from 5° to 70°):
- 2θ = 16.74°, intensity 10
- 2θ = 26.38°, intensity 100
- 2θ = 34.22°, intensity 63
- 2θ = 34.32°, intensity 26
- 2θ = 40.79°, intensity 55
- 2θ = 49.19°, intensity 25
- 2θ = 49.31°, intensity 12
- 2θ = 51.81°, intensity 24
- 2θ = 56.67°, intensity 16
- 2θ = 56.77°, intensity 11

[4]
This entry pairs a crystal structure of LiSnP3O9 with its computed powder diffraction line list. Radiation: CuKα. Structure: a crystal structure in the Materials Project, relaxed with PBE.

Cell and atoms:
```
data_LiSnP3O9
_chemical_formula_sum 'Li4 Sn4 P12 O36'
_cell_length_a 9.7791
_cell_length_b 10.4681
_cell_length_c 10.4830
_cell_angle_alpha 112.83
_cell_angle_beta 103.88
_cell_angle_gamma 107.66
_space_group_name_H-M_alt 'P -1'
_space_group_IT_number 2
loop_
_space_group_symop_operation_xyz
'x,y,z'
'-x,-y,-z'
loop_
_atom_site_label
_atom_site_type_symbol
_atom_site_fract_x
_atom_site_fract_y
_atom_site_fract_z
Li1 Li 0.1624 0.0641 0.4932
Li2 Li 0.1629 0.8809 0.6318
Sn1 Sn 0.2346 0.2468 0.2752
Sn2 Sn 0.3758 0.6727 0.7848
P1 P 0.0080 0.1481 0.8775
P2 P 0.0595 0.3057 0.7005
P3 P 0.1899 0.6117 0.4038
P4 P 0.2922 0.8978 0.0857
P5 P 0.4651 0.2065 0.8267
P6 P 0.4910 0.6485 0.3587
O1 O 0.0067 0.8465 0.4453
O2 O 0.0618 0.0064 0.2653
O3 O 0.0760 0.6400 0.2868
O4 O 0.0978 0.2821 0.8458
O5 O 0.1177 0.1694 0.0194
O6 O 0.1300 0.8062 0.0921
O7 O 0.1346 0.4425 0.3458
O8 O 0.2052 0.4346 0.7294
O9 O 0.2106 0.7140 0.5623
O10 O 0.2771 0.8206 0.9241
O11 O 0.3057 0.0864 0.7042
O12 O 0.3410 0.0685 0.1634
O13 O 0.3500 0.6872 0.3870
O14 O 0.3576 0.2202 0.5148
O15 O 0.4087 0.8626 0.1910
O16 O 0.4611 0.4866 0.3259
O17 O 0.4719 0.6508 0.2021
O18 O 0.4828 0.2764 0.9881
```

Main lines, sorted by position (2θ from 5° to 70°):
- 2θ = 10.15°, intensity 60
- 2θ = 18.40°, intensity 31
- 2θ = 19.59°, intensity 35
- 2θ = 20.12°, intensity 55
- 2θ = 20.54°, intensity 62
- 2θ = 22.15°, intensity 37
- 2θ = 23.68°, intensity 77
- 2θ = 26.71°, intensity 34
- 2θ = 29.92°, intensity 100
- 2θ = 30.04°, intensity 32

[5]
This entry pairs a crystal structure of MgSb4O10 with its computed powder diffraction line list. Radiation: CuKα. Structure: a crystal structure in the Materials Project, relaxed with PBE.

Cell and atoms:
```
data_MgSb4O10
_chemical_formula_sum 'Mg2 Sb8 O20'
_cell_length_a 10.4772
_cell_length_b 3.9494
_cell_length_c 10.5675
_cell_angle_alpha 90.00
_cell_angle_beta 90.00
_cell_angle_gamma 90.00
_space_group_name_H-M_alt 'A m m 2'
_space_group_IT_number 38
loop_
_space_group_symop_operation_xyz
'x,y,z'
'-x,-y,z'
'-x,y,z'
'x,-y,z'
'x,y+1/2,z+1/2'
'-x,-y+1/2,z+1/2'
'-x,y+1/2,z+1/2'
'x,-y+1/2,z+1/2'
loop_
_atom_site_label
_atom_site_type_symbol
_atom_site_fract_x
_atom_site_fract_y
_atom_site_fract_z
Mg1 Mg 0.0000 0.0000 0.0000
Sb1 Sb 0.1785 0.0000 0.2672
Sb2 Sb 0.3143 0.0000 0.5344
O1 O 0.0000 0.0000 0.1901
O2 O 0.1181 0.0000 0.4477
O3 O 0.1838 0.0000 0.7347
O4 O 0.2423 0.0000 0.0826
O5 O 0.3478 0.0000 0.3479
O6 O 0.5000 0.0000 0.5819
```

Main lines, sorted by position (2θ from 5° to 70°):
- 2θ = 16.92°, intensity 100
- 2θ = 18.81°, intensity 48
- 2θ = 24.06°, intensity 100
- 2θ = 25.53°, intensity 43
- 2θ = 29.56°, intensity 40
- 2θ = 30.69°, intensity 92
- 2θ = 33.93°, intensity 40
- 2θ = 35.34°, intensity 40
- 2θ = 50.04°, intensity 33
- 2θ = 56.28°, intensity 33

[6]
This entry pairs a crystal structure of KMg6Nb with its computed powder diffraction line list. Radiation: CuKα. Structure: a crystal structure in the Materials Project, relaxed with PBE.

Cell and atoms:
```
data_KMg6Nb
_chemical_formula_sum 'K2 Mg12 Nb2'
_cell_length_a 4.5805
_cell_length_b 9.2360
_cell_length_c 9.3100
_cell_angle_alpha 90.00
_cell_angle_beta 90.00
_cell_angle_gamma 90.00
_space_group_name_H-M_alt 'A m m 2'
_space_group_IT_number 38
loop_
_space_group_symop_operation_xyz
'x,y,z'
'-x,-y,z'
'-x,y,z'
'x,-y,z'
'x,y+1/2,z+1/2'
'-x,-y+1/2,z+1/2'
'-x,y+1/2,z+1/2'
'x,-y+1/2,z+1/2'
loop_
_atom_site_label
_atom_site_type_symbol
_atom_site_fract_x
_atom_site_fract_y
_atom_site_fract_z
K1 K 0.0000 0.0000 0.0000
Mg1 Mg 0.0000 0.2447 0.2560
Mg2 Mg 0.5000 0.0000 0.2839
Mg3 Mg 0.5000 0.0000 0.7255
Mg4 Mg 0.5000 0.2190 0.5066
Nb1 Nb 0.0000 0.0000 0.5061
```

Main lines, sorted by position (2θ from 5° to 70°):
- 2θ = 13.50°, intensity 31
- 2θ = 19.07°, intensity 10
- 2θ = 19.22°, intensity 10
- 2θ = 33.62°, intensity 100
- 2θ = 38.69°, intensity 16
- 2θ = 39.01°, intensity 15
- 2θ = 39.34°, intensity 17
- 2θ = 56.36°, intensity 10
- 2θ = 66.80°, intensity 10
- 2θ = 67.69°, intensity 12

[7]
This entry pairs a crystal structure of CsLaP4O12 with its computed powder diffraction line list. Radiation: CuKα. Structure: a crystal structure in the Materials Project, relaxed with PBE.

Cell and atoms:
```
data_CsLaP4O12
_chemical_formula_sum 'Cs2 La2 P8 O24'
_cell_length_a 7.3216
_cell_length_b 9.3953
_cell_length_c 8.9675
_cell_angle_alpha 90.00
_cell_angle_beta 99.29
_cell_angle_gamma 90.00
_space_group_name_H-M_alt 'P 1 21 1'
_space_group_IT_number 4
loop_
_space_group_symop_operation_xyz
'x,y,z'
'-x,y+1/2,-z'
loop_
_atom_site_label
_atom_site_type_symbol
_atom_site_fract_x
_atom_site_fract_y
_atom_site_fract_z
Cs1 Cs 0.1733 0.0000 0.1747
La1 La 0.2979 0.1654 0.6973
P1 P 0.1456 0.5403 0.5436
P2 P 0.1944 0.5900 0.2278
P3 P 0.4173 0.3888 0.0727
P4 P 0.4398 0.7736 0.6254
O1 O 0.0050 0.1326 0.8173
O2 O 0.0401 0.1111 0.4904
O3 O 0.1625 0.4062 0.6348
O4 O 0.2240 0.5076 0.3889
O5 O 0.2292 0.4607 0.1166
O6 O 0.2867 0.6529 0.6356
O7 O 0.3434 0.7003 0.2324
O8 O 0.3524 0.9168 0.5937
O9 O 0.3572 0.3162 0.9256
O10 O 0.4231 0.2186 0.4677
O11 O 0.4264 0.9942 0.9102
O12 O 0.4589 0.2645 0.1989
```

Main lines, sorted by position (2θ from 5° to 70°):
- 2θ = 13.75°, intensity 75
- 2θ = 15.47°, intensity 79
- 2θ = 18.89°, intensity 46
- 2θ = 19.51°, intensity 59
- 2θ = 21.79°, intensity 71
- 2θ = 22.58°, intensity 71
- 2θ = 25.24°, intensity 64
- 2θ = 25.55°, intensity 100
- 2θ = 26.84°, intensity 61
- 2θ = 30.27°, intensity 74

[8]
This entry pairs a crystal structure of Er2O3 with its computed powder diffraction line list. Radiation: CuKα. Structure: a crystal structure in the Materials Project, relaxed with PBE.

Cell and atoms:
```
data_Er2O3
_chemical_formula_sum 'Er2 O3'
_cell_length_a 3.6348
_cell_length_b 3.6348
_cell_length_c 5.8327
_cell_angle_alpha 90.00
_cell_angle_beta 90.00
_cell_angle_gamma 120.00
_space_group_name_H-M_alt 'P -3 m 1'
_space_group_IT_number 164
_space_group_name_Hall '-P 3 2"'
loop_
_atom_site_label
_atom_site_type_symbol
_atom_site_fract_x
_atom_site_fract_y
_atom_site_fract_z
Er1 Er 0.3333 0.6667 0.2501
O1 O 0.0000 0.0000 0.0000
O2 O 0.3333 0.6667 0.6457
```

Main lines, sorted by position (2θ from 5° to 70°):
- 2θ = 28.35°, intensity 27
- 2θ = 30.66°, intensity 28
- 2θ = 32.32°, intensity 100
- 2θ = 42.24°, intensity 24
- 2θ = 50.20°, intensity 29
- 2θ = 55.56°, intensity 27
- 2θ = 58.66°, intensity 4
- 2θ = 59.97°, intensity 26
- 2θ = 60.97°, intensity 17
- 2θ = 67.64°, intensity 6

> Which formula does entry 1 have?

Sr2Ru3O10